Record 1
Structure and calculated powder X-ray diffraction pattern of RbNdSc4S8 (the GGA-PBE geometry in Alexandria; copper Kα).
Peak positions follow from Bragg's law for the DFT cell and can differ from measured ones.

Structure:
Cell lengths 8.184, 8.184, 8.184 Å; angles 57.09, 57.09, 57.09 degrees
Fractional coordinates of all 14 atoms:
Rb 0.000 0.000 0.000
Nd 0.357 0.357 0.357
Sc 0.358 0.358 0.877
Sc 0.358 0.877 0.358
Sc 0.735 0.735 0.735
Sc 0.877 0.358 0.358
S 0.115 0.115 0.560
S 0.115 0.560 0.115
S 0.123 0.613 0.613
S 0.138 0.138 0.138
S 0.560 0.115 0.115
S 0.605 0.605 0.605
S 0.613 0.123 0.613
S 0.613 0.613 0.123

The 10 most intense peaks (2θ = 10–80°), sorted by position:
d_spacing, 2θ/deg, I/Imax
6.431, 13.8, 48
3.911, 22.7, 47
3.505, 25.4, 41
3.393, 26.3, 100
2.825, 31.7, 59
2.571, 34.9, 17
2.171, 41.6, 29
2.144, 42.2, 29
2.042, 44.4, 48
1.955, 46.4, 51

=====

Record 2
Structure and calculated powder X-ray diffraction pattern of Pm3CdRu (the GGA-PBE geometry in Alexandria; copper Kα).
Peak positions follow from Bragg's law for the DFT cell and can differ from measured ones.

Structure:
Cell lengths 9.499, 8.698, 6.072 Å; angles 77.82, 63.51, 38.67 degrees
Fractional coordinates of all 10 atoms:
Pm 0.198 0.582 0.418
Pm 0.200 0.200 0.800
Pm 0.418 0.802 0.198
Pm 0.582 0.198 0.802
Pm 0.800 0.800 0.200
Pm 0.802 0.418 0.582
Cd 0.207 0.793 0.793
Cd 0.793 0.207 0.207
Ru 0.250 0.250 0.250
Ru 0.750 0.750 0.750

The 10 most intense peaks (2θ = 10–80°), sorted by position:
d_spacing, 2θ/deg, I/Imax
3.148, 28.3, 31
2.965, 30.1, 60
2.784, 32.2, 52
2.633, 34.1, 100
2.567, 34.9, 49
2.536, 35.4, 20
2.368, 38.0, 31
2.291, 39.3, 24
1.756, 52.1, 18
1.661, 55.3, 28